For BaS5O8, DFT lattice parameters and positions (GGA-PBE) gives the theoretical XRD peak list in this record (Cu Kα X-rays).
Kinematic intensities with the Lorentz-polarization factor, no thermal factor.

Principal peaks in the range 2θ = 10–90°, low angle first:
hkl 0 1 -1, 13.7 deg, d = 6.444 Å, intensity 510; hkl 0 1 2, 15.8 deg, d = 5.618 Å, intensity 773; hkl 1 -1 0, 18.7 deg, d = 4.756 Å, intensity 1000; hkl 1 1 0, 19.1 deg, d = 4.636 Å, intensity 709; hkl -1 1 1, 20.1 deg, d = 4.418 Å, intensity 351; hkl 0 1 -2, 20.8 deg, d = 4.276 Å, intensity 498; hkl 1 2 0, 24.8 deg, d = 3.586 Å, intensity 327; hkl 1 2 2, 25.0 deg, d = 3.562 Å, intensity 653; hkl 1 -2 1, 26.5 deg, d = 3.367 Å, intensity 466; hkl 0 0 4, 32.6 deg, d = 2.746 Å, intensity 408

```
data_BaS5O8
_cell_length_a 5.374
_cell_length_b 10.516
_cell_length_c 11.676
_cell_angle_alpha 71.69
_cell_angle_beta 82.47
_cell_angle_gamma 89.38
_symmetry_space_group_name_H-M 'P -1'
_symmetry_Int_Tables_number 2
loop_
_symmetry_equiv_pos_as_xyz
'x,y,z'
'-x,-y,-z'
loop_
_atom_site_label
_atom_site_fract_x
_atom_site_fract_y
_atom_site_fract_z
Ba1 0.246 0.213 0.101
S1 0.086 0.378 0.645
S2 0.249 0.079 0.815
S3 0.251 0.551 0.817
S4 0.304 0.540 0.632
S5 0.312 0.226 0.632
O1 0.020 0.437 0.153
O2 0.022 0.949 0.156
O3 0.095 0.131 0.368
O4 0.238 0.758 0.983
O5 0.357 0.141 0.894
O6 0.357 0.431 0.893
O7 0.393 0.968 0.791
O8 0.396 0.676 0.795
```